For Zn3Cu12Ni, a structure optimized by DFT (PBE) gives the theoretical powder X-ray diffraction pattern in this record (CuKα).
No peak broadening, texture or thermal motion is included.

Cell and atoms:
Cell lengths 3.6641, 3.6641, 14.5511 Å; angles 90.00, 90.00, 90.00 degrees
Fractional positions:
Zn 0.0000 0.0000 0.0000
Zn 0.0000 0.0000 0.2550
Zn 0.0000 0.0000 0.7450
Cu 0.0000 0.5000 0.1274
Cu 0.0000 0.5000 0.3802
Cu 0.0000 0.5000 0.6198
Cu 0.0000 0.5000 0.8726
Cu 0.5000 0.0000 0.1274
Cu 0.5000 0.0000 0.3802
Cu 0.5000 0.0000 0.6198
Cu 0.5000 0.0000 0.8726
Cu 0.5000 0.5000 0.0000
Cu 0.5000 0.5000 0.2537
Cu 0.5000 0.5000 0.5000
Cu 0.5000 0.5000 0.7463
Ni 0.0000 0.0000 0.5000

Main lines, sorted by position (2θ from 5° to 70°):
42.85 deg, I = 100, (1 1 4); 49.77 deg, I = 32, (2 0 0); 50.15 deg, I = 15, (0 0 8)